MgNb2O4F2: computed XRD peak list (Cu Kα (λ = 1.5418 Å)), based on a cell relaxed with GGA-PBE.
No peak broadening, texture or thermal motion is included.

Crystal structure
```
9
Lattice="4.905 -2.607 0.000 4.905 2.607 0.000 -3.308 0.000 4.691" Properties=species:S:1:pos:R:3 pbc="T T T"
Mg 0.000 0.000 0.000
Nb -0.087 -0.371 3.468
Nb 6.589 -0.371 1.224
O 0.430 0.680 1.876
O -1.334 0.694 4.470
O 7.836 0.694 0.222
O 6.072 0.680 2.816
F 3.251 1.379 2.346
F 4.905 0.580 0.000
```

The 6 most intense peaks (10 to 80 degrees two-theta), most intense first:
- 23.0°, rel. 100
- 22.2°, rel. 46
- 32.3°, rel. 45
- 32.1°, rel. 45
- 31.2°, rel. 25
- 47.1°, rel. 23

MgTi4Pb2O9F2: computed XRD peak list (Cu Kα (λ = 1.5418 Å)), based on a cell relaxed with GGA-PBE.
No peak broadening, texture or thermal motion is included.

Crystal structure
```
18
Lattice="7.765 -1.879 0.000 7.765 1.879 0.000 -7.595 0.000 8.402" Properties=species:S:1:pos:R:3 pbc="T T T"
Mg 0.000 0.000 0.000
Ti -2.206 0.000 3.214
Ti 0.188 0.000 6.041
Ti 7.747 0.000 2.360
Ti 10.140 0.000 5.188
Pb 2.837 0.000 1.563
Pb 5.098 0.000 6.839
O -3.797 0.000 4.201
O -0.444 0.000 1.929
O -1.080 0.000 4.773
O -0.973 0.000 7.618
O 2.195 0.000 5.636
O 5.740 0.000 2.766
O 8.907 0.000 0.784
O 9.015 0.000 3.629
O 8.379 0.000 6.473
F -4.239 0.000 7.339
F 12.174 0.000 1.063
```

The 6 most intense peaks (10 to 80 degrees two-theta), most intense first:
- 29.9°, rel. 100
- 29.2°, rel. 76
- 15.4°, rel. 69
- 24.3°, rel. 64
- 21.1°, rel. 57
- 29.1°, rel. 54

MgTi4Pb2O9F2: computed XRD peak list (Cu Kα (λ = 1.5418 Å)), based on a cell relaxed with GGA-PBE.
No peak broadening, texture or thermal motion is included.

Crystal structure
```
18
Lattice="7.807 -1.944 0.000 7.807 1.944 0.000 -7.754 0.000 7.856" Properties=species:S:1:pos:R:3 pbc="T T T"
Mg 0.000 0.000 0.000
Ti 0.706 0.000 2.796
Ti -1.097 0.000 6.032
Ti 9.934 0.000 0.757
Ti 4.784 0.000 7.560
Pb 5.307 0.000 2.440
Pb 10.342 0.000 5.164
O -0.879 0.000 1.790
O 1.820 0.000 0.845
O 0.013 0.000 4.505
O -2.551 0.000 7.697
O 0.361 0.000 7.372
O 3.152 0.000 6.738
O 8.952 0.000 2.608
O 6.475 0.000 6.386
O 11.786 0.000 1.475
F -2.859 0.000 4.832
F 2.786 0.000 3.666
```

The 6 most intense peaks (10 to 80 degrees two-theta), most intense first:
- 29.2°, rel. 100
- 25.5°, rel. 45
- 40.9°, rel. 22
- 16.0°, rel. 21
- 25.4°, rel. 18
- 40.7°, rel. 17

MgTi4Pb2O9F2: computed XRD peak list (Cu Kα (λ = 1.5418 Å)), based on a cell relaxed with GGA-PBE.
No peak broadening, texture or thermal motion is included.

Crystal structure
```
18
Lattice="7.580 -1.983 0.000 7.580 1.983 0.000 -7.257 0.000 7.608" Properties=species:S:1:pos:R:3 pbc="T T T"
Mg 0.000 0.000 0.000
Ti -4.039 0.000 5.217
Ti -0.945 0.000 2.756
Ti 1.955 0.000 3.545
Ti 5.154 0.000 0.955
Pb 6.070 0.000 5.120
Pb 10.056 0.000 1.004
O -2.444 0.000 4.077
O 0.875 0.000 1.785
O -2.964 0.000 6.810
O 0.287 0.000 4.311
O 3.628 0.000 1.957
O 3.375 0.000 4.999
O 6.455 0.000 2.648
O 9.845 0.000 3.523
O 13.290 0.000 0.892
F -5.731 0.000 6.456
F -0.058 0.000 7.416
```

The 6 most intense peaks (10 to 80 degrees two-theta), most intense first:
- 29.4°, rel. 100
- 33.3°, rel. 51
- 16.2°, rel. 45
- 23.5°, rel. 37
- 23.4°, rel. 32
- 42.0°, rel. 29

MgTi4Pb2O9F2: computed XRD peak list (Cu Kα (λ = 1.5418 Å)), based on a cell relaxed with GGA-PBE.
No peak broadening, texture or thermal motion is included.

Crystal structure
```
18
Lattice="7.497 -2.009 0.000 7.497 2.009 0.000 -7.438 0.000 7.612" Properties=species:S:1:pos:R:3 pbc="T T T"
Mg 0.000 0.000 0.000
Ti -2.166 0.000 3.408
Ti 0.813 0.000 5.657
Ti 6.742 0.000 1.954
Ti 9.722 0.000 4.203
Pb 2.784 0.000 1.538
Pb 4.772 0.000 6.074
O -0.966 0.000 1.764
O -3.506 0.000 5.069
O -0.766 0.000 4.808
O 2.208 0.000 4.197
O 7.497 0.000 0.000
O 5.348 0.000 3.414
O 8.321 0.000 2.803
O 11.061 0.000 2.543
O 8.521 0.000 5.848
F 4.878 0.000 0.595
F 2.677 0.000 7.016
```

The 6 most intense peaks (10 to 80 degrees two-theta), most intense first:
- 29.0°, rel. 100
- 26.4°, rel. 73
- 29.1°, rel. 50
- 11.8°, rel. 37
- 45.1°, rel. 25
- 23.7°, rel. 25

MgS8O20F8: computed XRD peak list (Cu Kα (λ = 1.5418 Å)), based on a cell relaxed with GGA-PBE.
No peak broadening, texture or thermal motion is included.

Crystal structure
```
37
Lattice="7.701 0.000 0.000 0.000 9.944 0.000 -0.356 0.000 8.222" Properties=species:S:1:pos:R:3 pbc="T T T"
Mg 0.000 0.000 0.000
S 0.611 9.350 2.499
S 1.152 4.518 3.515
S 2.230 2.273 7.457
S 3.013 7.142 6.844
S 4.332 7.142 1.379
S 5.115 2.273 0.765
S 6.193 4.518 4.707
S 6.735 9.350 5.723
O -0.178 3.741 4.111
O -0.178 8.927 4.111
O -0.197 0.587 6.254
O 0.995 8.585 1.249
O 1.430 5.677 4.283
O 1.402 3.351 7.076
O 1.780 1.151 8.220
O 2.066 3.471 3.242
O 2.788 8.199 5.931
O 3.533 5.993 1.617
O 3.850 2.986 0.000
O 3.850 7.906 0.000
O 3.812 5.993 6.605
O 4.558 8.199 2.291
O 5.280 3.471 4.980
O 5.565 1.151 0.002
O 5.943 3.351 1.146
O 5.915 5.677 3.939
O 6.350 8.585 6.973
O 7.542 0.587 1.968
F 0.541 4.989 2.141
F 1.610 6.636 7.356
F 2.027 0.094 2.965
F 2.981 1.725 6.210
F 4.364 1.725 2.013
F 5.318 0.094 5.257
F 5.735 6.636 0.867
F 6.804 4.989 6.081
```

The 6 most intense peaks (10 to 80 degrees two-theta), most intense first:
- 21.3°, rel. 100
- 20.9°, rel. 63
- 23.7°, rel. 44
- 24.1°, rel. 36
- 25.0°, rel. 24
- 25.1°, rel. 24

MgS8O20F8: computed XRD peak list (Cu Kα (λ = 1.5418 Å)), based on a cell relaxed with GGA-PBE.
No peak broadening, texture or thermal motion is included.

Crystal structure
```
37
Lattice="7.941 0.000 0.000 0.733 8.797 0.000 0.502 1.076 9.304" Properties=species:S:1:pos:R:3 pbc="T T T"
Mg 0.000 0.000 0.000
S 1.329 6.661 7.744
S 1.859 6.975 2.851
S 2.817 4.225 3.169
S 3.964 5.440 7.690
S 4.583 0.808 5.614
S 5.874 7.991 1.107
S 6.609 2.947 1.367
S 7.324 1.742 5.999
O 1.150 6.037 8.997
O 1.583 7.743 1.678
O 2.018 4.099 4.335
O 2.294 5.547 2.269
O 2.564 6.039 6.923
O 2.707 7.438 3.884
O 3.031 3.233 2.189
O 4.322 9.277 6.566
O 4.258 6.268 8.796
O 4.810 5.150 6.594
O 4.443 1.745 4.563
O 5.285 6.724 1.414
O 6.242 8.880 2.179
O 5.897 1.231 6.562
O 6.047 3.196 0.046
O 6.934 7.917 0.047
O 7.253 4.058 2.045
O 7.682 1.129 4.776
O 8.275 6.947 6.778
O 8.163 1.734 7.157
F 0.569 1.659 0.478
F 2.030 8.133 8.093
F 3.342 4.096 8.200
F 4.203 4.817 3.603
F 4.715 8.788 0.292
F 5.898 8.272 5.043
F 6.972 3.238 5.721
F 8.419 6.603 3.480
```

The 6 most intense peaks (10 to 80 degrees two-theta), most intense first:
- 22.6°, rel. 100
- 14.5°, rel. 74
- 24.0°, rel. 51
- 20.6°, rel. 47
- 21.7°, rel. 40
- 15.7°, rel. 32

MgS8O20F8: computed XRD peak list (Cu Kα (λ = 1.5418 Å)), based on a cell relaxed with GGA-PBE.
No peak broadening, texture or thermal motion is included.

Crystal structure
```
37
Lattice="8.027 0.000 0.000 0.000 8.027 0.000 0.000 0.000 9.855" Properties=species:S:1:pos:R:3 pbc="T T T"
Mg 0.000 0.000 0.000
S 0.655 5.312 6.241
S 1.366 4.777 1.322
S 2.715 0.655 3.614
S 3.250 1.366 8.533
S 4.777 6.661 8.533
S 5.312 7.372 3.614
S 6.661 3.250 1.322
S 7.372 2.715 6.241
O 0.000 4.014 1.995
O 0.000 4.014 7.016
O 0.130 2.367 5.113
O 1.015 6.197 7.286
O 1.580 4.308 9.842
O 1.830 1.015 2.569
O 2.367 7.897 4.742
O 2.388 4.805 2.326
O 3.222 2.388 7.530
O 3.720 1.580 0.013
O 4.014 0.000 2.839
O 4.014 0.000 7.861
O 4.308 6.447 0.013
O 4.805 5.639 7.530
O 5.639 3.222 2.326
O 5.660 0.130 4.742
O 6.197 7.012 2.569
O 6.447 3.720 9.842
O 7.012 1.830 7.286
O 7.897 5.660 5.113
F 0.904 6.684 1.028
F 1.343 0.904 8.827
F 1.970 4.629 5.720
F 3.398 1.970 4.135
F 4.629 6.057 4.135
F 6.057 3.398 5.720
F 6.684 7.123 8.827
F 7.123 1.343 1.028
```

The 6 most intense peaks (10 to 80 degrees two-theta), most intense first:
- 21.2°, rel. 100
- 24.8°, rel. 64
- 23.9°, rel. 59
- 15.6°, rel. 32
- 26.4°, rel. 27
- 39.9°, rel. 21